[1]
V2O3F: simulated PXRD pattern (Cu Kα (λ = 1.5418 Å)), based on DFT lattice parameters and positions (PBE+U).
Neutral-atom scattering factors, no anomalous dispersion.

Atomic structure:
```
data_V2O3F
_chemical_formula_sum 'V4 O6 F2'
_cell_length_a 2.9968
_cell_length_b 6.4870
_cell_length_c 6.7698
_cell_angle_alpha 90.00
_cell_angle_beta 90.00
_cell_angle_gamma 90.00
_symmetry_space_group_name_H-M 'P 1'
_symmetry_Int_Tables_number 1
loop_
_symmetry_equiv_pos_as_xyz
'x,y,z'
loop_
_atom_site_label
_atom_site_type_symbol
_atom_site_fract_x
_atom_site_fract_y
_atom_site_fract_z
V1 V 0.0000 0.0000 0.0000
V2 V 0.0000 0.5000 0.5000
V3 V 0.5000 0.0000 0.4617
V4 V 0.5000 0.5000 0.9617
O1 O 0.0000 0.0000 0.2772
O2 O 0.0000 0.5000 0.7772
O3 O 0.5000 0.1961 0.9809
O4 O 0.5000 0.3039 0.4809
O5 O 0.5000 0.6961 0.4809
O6 O 0.5000 0.8039 0.9809
F1 F 0.0000 0.0000 0.6782
F2 F 0.0000 0.5000 0.1782
```

Most intense lines, 10° ≤ 2θ ≤ 90°, most intense first:
27.50 deg, I 100; 35.56 deg, I 95; 26.33 deg, I 95; 52.70 deg, I 57; 54.02 deg, I 56; 67.67 deg, I 40; 61.90 deg, I 25; 40.19 deg, I 25; 41.00 deg, I 19; 54.20 deg, I 17

[2]
V6O11F: simulated PXRD pattern (Cu Kα (λ = 1.5418 Å)), based on DFT lattice parameters and positions (PBE+U).
Neutral-atom scattering factors, no anomalous dispersion.

Atomic structure:
```
data_V6O11F
_chemical_formula_sum 'V6 O11 F1'
_cell_length_a 4.6101
_cell_length_b 5.5250
_cell_length_c 7.5287
_cell_angle_alpha 85.73
_cell_angle_beta 89.10
_cell_angle_gamma 89.00
_symmetry_space_group_name_H-M 'P 1'
_symmetry_Int_Tables_number 1
loop_
_symmetry_equiv_pos_as_xyz
'x,y,z'
loop_
_atom_site_label
_atom_site_type_symbol
_atom_site_fract_x
_atom_site_fract_y
_atom_site_fract_z
V1 V 0.0000 0.0000 0.0000
V2 V 0.0045 0.6822 0.3426
V3 V 0.0424 0.3694 0.6843
V4 V 0.4957 0.1794 0.3217
V5 V 0.5029 0.8428 0.6719
V6 V 0.5259 0.5228 0.0175
O1 O 0.2103 0.7208 0.1142
O2 O 0.2120 0.3799 0.4566
O3 O 0.2336 0.0580 0.7759
O4 O 0.3140 0.2095 0.1181
O5 O 0.3209 0.8834 0.4429
O6 O 0.3277 0.5628 0.7805
O7 O 0.7218 0.8247 0.9086
O8 O 0.7240 0.4782 0.2543
O9 O 0.8204 0.9795 0.2420
O10 O 0.8218 0.6605 0.5845
O11 O 0.8319 0.3186 0.8987
F1 F 0.7134 0.1540 0.5691
```

Most intense lines, 10° ≤ 2θ ≤ 90°, most intense first:
27.68 deg, I 100; 27.06 deg, I 96; 35.71 deg, I 50; 54.10 deg, I 29; 35.54 deg, I 27; 35.89 deg, I 23; 61.85 deg, I 17; 57.17 deg, I 17; 55.79 deg, I 16; 68.74 deg, I 15

[3]
V3O4F2: simulated PXRD pattern (Cu Kα (λ = 1.5418 Å)), based on DFT lattice parameters and positions (PBE+U).
Neutral-atom scattering factors, no anomalous dispersion.

Atomic structure:
```
data_V3O4F2
_chemical_formula_sum 'V6 O8 F4'
_cell_length_a 5.6132
_cell_length_b 5.6132
_cell_length_c 7.5672
_cell_angle_alpha 110.14
_cell_angle_beta 110.14
_cell_angle_gamma 69.74
_symmetry_space_group_name_H-M 'P 1'
_symmetry_Int_Tables_number 1
loop_
_symmetry_equiv_pos_as_xyz
'x,y,z'
loop_
_atom_site_label
_atom_site_type_symbol
_atom_site_fract_x
_atom_site_fract_y
_atom_site_fract_z
V1 V 0.0000 0.0000 0.0000
V2 V 0.0037 0.0037 0.4997
V3 V 0.3192 0.3192 0.3606
V4 V 0.3351 0.3351 0.8276
V5 V 0.6521 0.6521 0.6982
V6 V 0.6645 0.6645 0.1679
O1 O 0.0235 0.6314 0.8330
O2 O 0.2307 0.2307 0.5335
O3 O 0.3056 0.6917 0.5035
O4 O 0.3656 0.9728 0.1730
O5 O 0.5656 0.5656 0.8721
O6 O 0.6314 0.0235 0.8330
O7 O 0.6917 0.3056 0.5035
O8 O 0.9728 0.3656 0.1730
F1 F 0.1005 0.1005 0.7982
F2 F 0.4316 0.4316 0.1330
F3 F 0.7704 0.7704 0.4675
F4 F 0.8989 0.8989 0.2030
```

Most intense lines, 10° ≤ 2θ ≤ 90°, most intense first:
25.75 deg, I 100; 27.80 deg, I 100; 35.08 deg, I 95; 54.02 deg, I 55; 51.65 deg, I 30; 51.76 deg, I 30; 39.40 deg, I 28; 60.79 deg, I 26; 67.06 deg, I 26; 67.17 deg, I 26

[4]
V2O3F: simulated PXRD pattern (Cu Kα (λ = 1.5418 Å)), based on DFT lattice parameters and positions (PBE+U).
Neutral-atom scattering factors, no anomalous dispersion.

Atomic structure:
```
data_V2O3F
_chemical_formula_sum 'V6 O9 F3'
_cell_length_a 5.5823
_cell_length_b 5.5823
_cell_length_c 7.0919
_cell_angle_alpha 106.78
_cell_angle_beta 106.78
_cell_angle_gamma 75.65
_symmetry_space_group_name_H-M 'P 1'
_symmetry_Int_Tables_number 1
loop_
_symmetry_equiv_pos_as_xyz
'x,y,z'
loop_
_atom_site_label
_atom_site_type_symbol
_atom_site_fract_x
_atom_site_fract_y
_atom_site_fract_z
V1 V 0.0000 0.0000 0.0000
V2 V 0.3331 0.3334 0.3330
V3 V 0.3760 0.2899 0.8326
V4 V 0.6666 0.6669 0.6670
V5 V 0.7101 0.6240 0.1674
V6 V 0.9576 0.0424 0.5000
O1 O 0.1062 0.0977 0.7943
O2 O 0.2310 0.2301 0.5381
O3 O 0.4382 0.4332 0.1282
O4 O 0.5668 0.5618 0.8718
O5 O 0.6393 0.0289 0.8329
O6 O 0.6959 0.3041 0.5000
O7 O 0.7699 0.7690 0.4619
O8 O 0.9023 0.8938 0.2057
O9 O 0.9711 0.3607 0.1671
F1 F 0.0370 0.6284 0.8344
F2 F 0.2979 0.7021 0.5000
F3 F 0.3716 0.9630 0.1656
```

Most intense lines, 10° ≤ 2θ ≤ 90°, most intense first:
27.81 deg, I 100; 35.33 deg, I 93; 26.03 deg, I 92; 54.21 deg, I 56; 52.19 deg, I 50; 67.55 deg, I 37; 39.77 deg, I 27; 41.02 deg, I 22; 61.29 deg, I 18; 57.46 deg, I 18

[5]
V2OF5: simulated PXRD pattern (Cu Kα (λ = 1.5418 Å)), based on DFT lattice parameters and positions (PBE+U).
Neutral-atom scattering factors, no anomalous dispersion.

Atomic structure:
```
data_V2OF5
_chemical_formula_sum 'V4 O2 F10'
_cell_length_a 5.4203
_cell_length_b 5.2570
_cell_length_c 7.6167
_cell_angle_alpha 90.00
_cell_angle_beta 92.50
_cell_angle_gamma 90.00
_symmetry_space_group_name_H-M 'P 1'
_symmetry_Int_Tables_number 1
loop_
_symmetry_equiv_pos_as_xyz
'x,y,z'
loop_
_atom_site_label
_atom_site_type_symbol
_atom_site_fract_x
_atom_site_fract_y
_atom_site_fract_z
V1 V 0.0000 0.0000 0.0000
V2 V 0.0000 0.0000 0.5000
V3 V 0.5248 0.4817 0.0050
V4 V 0.5248 0.5183 0.5050
O1 O 0.7763 0.2961 0.0365
O2 O 0.7763 0.7039 0.5365
F1 F 0.0003 0.0960 0.7495
F2 F 0.0003 0.9040 0.2495
F3 F 0.2204 0.2990 0.4575
F4 F 0.2204 0.7010 0.9575
F5 F 0.2917 0.2077 0.0510
F6 F 0.2917 0.7923 0.5510
F7 F 0.4912 0.4056 0.7495
F8 F 0.4912 0.5944 0.2495
F9 F 0.7030 0.2058 0.4502
F10 F 0.7030 0.7942 0.9502
```

Most intense lines, 10° ≤ 2θ ≤ 90°, most intense first:
23.59 deg, I 100; 23.38 deg, I 49; 48.25 deg, I 21; 39.70 deg, I 15; 53.56 deg, I 14; 32.93 deg, I 14; 53.69 deg, I 12; 53.27 deg, I 12; 55.03 deg, I 11; 47.81 deg, I 11

[6]
V4O7F5: simulated PXRD pattern (Cu Kα (λ = 1.5418 Å)), based on DFT lattice parameters and positions (PBE+U).
Neutral-atom scattering factors, no anomalous dispersion.

Atomic structure:
```
data_V4O7F5
_chemical_formula_sum 'V4 O7 F5'
_cell_length_a 5.1675
_cell_length_b 5.3680
_cell_length_c 7.5766
_cell_angle_alpha 88.58
_cell_angle_beta 89.83
_cell_angle_gamma 89.98
_symmetry_space_group_name_H-M 'P 1'
_symmetry_Int_Tables_number 1
loop_
_symmetry_equiv_pos_as_xyz
'x,y,z'
loop_
_atom_site_label
_atom_site_type_symbol
_atom_site_fract_x
_atom_site_fract_y
_atom_site_fract_z
V1 V 0.0000 0.0000 0.0000
V2 V 0.0052 0.1104 0.5004
V3 V 0.4834 0.4982 0.9997
V4 V 0.5184 0.5937 0.4944
O1 O 0.2119 0.3353 0.9662
O2 O 0.2702 0.8373 0.9649
O3 O 0.2726 0.2760 0.5332
O4 O 0.7098 0.2818 0.0371
O5 O 0.7131 0.8380 0.4665
O6 O 0.7732 0.7832 0.0332
O7 O 0.7798 0.3339 0.4659
F1 F 0.0751 0.0533 0.2520
F2 F 0.1979 0.7795 0.5395
F3 F 0.4069 0.5624 0.2468
F4 F 0.5693 0.5570 0.7537
F5 F 0.9137 0.0604 0.7493
```

Most intense lines, 10° ≤ 2θ ≤ 90°, most intense first:
23.91 deg, I 100; 23.49 deg, I 50; 48.94 deg, I 19; 48.05 deg, I 13; 33.41 deg, I 9; 55.39 deg, I 8; 56.05 deg, I 8; 54.67 deg, I 8; 34.06 deg, I 6; 53.90 deg, I 6